Simulated powder diffraction line list
Compound: Pm2HoAl
Radiation: Cu Kα (weighted mean of Kα1 and Kα2)
Structure: a DFT-relaxed cell (PBE, Alexandria)
Neutral-atom scattering factors, no anomalous dispersion.

Structure:
Cell lengths 5.333, 6.987, 6.987 Å; angles 59.75, 90.00, 90.00 degrees
Fractional coordinates of all 8 atoms:
1 Pm 0.000 0.000 0.000
2 Pm 0.000 0.002 0.468
3 Pm 0.000 0.468 0.002
4 Pm 0.500 0.646 0.646
5 Ho 0.500 0.175 0.645
6 Ho 0.500 0.645 0.175
7 Al 0.000 0.486 0.486
8 Al 0.500 0.157 0.157

Top 10 peaks for 5° ≤ 2θ ≤ 70°, in order of falling intensity:
2θ 34.1, rel. 100
2θ 34.0, rel. 52
2θ 22.2, rel. 43
2θ 33.6, rel. 36
2θ 60.4, rel. 29
2θ 29.6, rel. 25
2θ 45.4, rel. 23
2θ 63.7, rel. 21
2θ 52.4, rel. 19
2θ 63.9, rel. 18